Calculated XRD peak list
Compound: Tb4Zn5Si6
Radiation: copper Kα
Structure: a GGA-PBE-relaxed structure
Lines closer than 0.1° are merged.

Atomic structure:
```
data_Tb4Zn5Si6
_symmetry_space_group_name_H-M 'C m c 21'
_symmetry_Int_Tables_number 36
_cell_length_a 4.189
_cell_length_b 18.333
_cell_length_c 15.178
_cell_angle_alpha 90.00
_cell_angle_beta 90.00
_cell_angle_gamma 90.00
loop_
_symmetry_equiv_pos_as_xyz
'x,y,z'
'-x,-y,z+1/2'
'-x,y,z'
'x,-y,z+1/2'
'x+1/2,y+1/2,z'
'-x+1/2,-y+1/2,z+1/2'
'-x+1/2,y+1/2,z'
'x+1/2,-y+1/2,z+1/2'
loop_
_atom_site_label
_atom_site_type_symbol
_atom_site_fract_x
_atom_site_fract_y
_atom_site_fract_z
_atom_site_occupancy
Tb1 Tb 0.000 0.019 0.000 1
Tb2 Tb 0.000 0.033 0.262 1
Tb3 Tb 0.000 0.168 0.804 1
Tb4 Tb 0.000 0.176 0.445 1
Zn1 Zn 0.000 0.151 0.127 1
Zn2 Zn 0.000 0.300 0.124 1
Zn3 Zn 0.000 0.344 0.775 1
Zn4 Zn 0.000 0.351 0.478 1
Zn5 Zn 0.000 0.435 0.184 1
Si1 Si 0.000 0.113 0.619 1
Si2 Si 0.000 0.220 0.988 1
Si3 Si 0.000 0.226 0.263 1
Si4 Si 0.000 0.431 0.630 1
Si5 Si 0.000 0.433 0.903 1
Si6 Si 0.000 0.443 0.355 1
```

Most intense lines, 2θ = 10–80°, sorted by position:
d_spacing  2θ (°)  I (rel.)  h k l
4.084  21.8  35  1 1 0
3.178  28.1  74  1 1 3
2.780  32.2  38  1 1 4
2.714  33.0  41  1 5 1
2.422  37.1  100  1 5 3
2.094  43.2  50  2 0 0


Calculated XRD peak list
Compound: Sr3Rh2O7
Radiation: copper Kα
Structure: a GGA-PBE-relaxed structure
Lines closer than 0.1° are merged.

Atomic structure:
```
data_Sr3Rh2O7
_symmetry_space_group_name_H-M 'C c c e'
_symmetry_Int_Tables_number 68
_cell_length_a 5.539
_cell_length_b 21.234
_cell_length_c 5.540
_cell_angle_alpha 90.00
_cell_angle_beta 90.00
_cell_angle_gamma 90.00
loop_
_symmetry_equiv_pos_as_xyz
'x,y,z'
'-x,-y,-z'
'-x+1/2,-y,z'
'x+1/2,y,-z'
'x+1/2,-y,-z+1/2'
'-x+1/2,y,z+1/2'
'-x,y,-z+1/2'
'x,-y,z+1/2'
'x+1/2,y+1/2,z'
'-x+1/2,-y+1/2,-z'
'-x,-y+1/2,z'
'x,y+1/2,-z'
'x,-y+1/2,-z+1/2'
'-x,y+1/2,z+1/2'
'-x+1/2,y+1/2,-z+1/2'
'x+1/2,-y+1/2,z+1/2'
loop_
_atom_site_label
_atom_site_type_symbol
_atom_site_fract_x
_atom_site_fract_y
_atom_site_fract_z
_atom_site_occupancy
Sr1 Sr 0.000 0.063 0.250 1
Sr2 Sr 0.000 0.250 0.250 1
Rh1 Rh 0.000 0.152 0.750 1
O1 O 0.000 0.055 0.750 1
O2 O 0.000 0.250 0.750 1
O3 O 0.191 0.153 0.058 1
```

Most intense lines, 2θ = 10–80°, sorted by position:
d_spacing  2θ (°)  I (rel.)  h k l
2.879  31.1  100  1 5 1
2.770  32.3  63  2 0 0
2.123  42.6  18  0 10 0
1.958  46.4  31  2 0 2
1.685  54.4  22  2 10 0
1.619  56.9  42  3 5 1


Calculated XRD peak list
Compound: K2SnHgBr4
Radiation: copper Kα
Structure: a GGA-PBE-relaxed structure
Lines closer than 0.1° are merged.

Atomic structure:
```
data_K2SnHgBr4
_symmetry_space_group_name_H-M 'C 1 2/m 1'
_symmetry_Int_Tables_number 12
_cell_length_a 14.698
_cell_length_b 4.570
_cell_length_c 9.166
_cell_angle_alpha 90.00
_cell_angle_beta 109.44
_cell_angle_gamma 90.00
loop_
_symmetry_equiv_pos_as_xyz
'x,y,z'
'-x,-y,-z'
'-x,y,-z'
'x,-y,z'
'x+1/2,y+1/2,z'
'-x+1/2,-y+1/2,-z'
'-x+1/2,y+1/2,-z'
'x+1/2,-y+1/2,z'
loop_
_atom_site_label
_atom_site_type_symbol
_atom_site_fract_x
_atom_site_fract_y
_atom_site_fract_z
_atom_site_occupancy
K1 K 0.210 0.000 0.216 1
Sn1 Sn 0.000 0.000 0.500 1
Hg1 Hg 0.000 0.500 0.000 1
Br1 Br 0.119 0.500 0.427 1
Br2 Br 0.142 0.000 0.818 1
```

Most intense lines, 2θ = 10–80°, sorted by position:
d_spacing  2θ (°)  I (rel.)  h k l
6.930  12.8  30  2 0 0
4.052  21.9  23  1 1 -1
3.307  27.0  100  3 1 -1
3.217  27.7  44  2 0 2
2.525  35.6  32  1 1 -3
2.136  42.3  28  5 1 1


Calculated XRD peak list
Compound: K3Nd3NbO8
Radiation: copper Kα
Structure: a GGA-PBE-relaxed structure
Lines closer than 0.1° are merged.

Atomic structure:
```
data_K3Nd3NbO8
_symmetry_space_group_name_H-M 'R -3 m'
_symmetry_Int_Tables_number 166
_symmetry_space_group_name_Hall '-R 3 2"'
_cell_length_a 7.0780
_cell_length_b 7.0780
_cell_length_c 18.9314
_cell_angle_alpha 90.00
_cell_angle_beta 90.00
_cell_angle_gamma 120.00
loop_
_atom_site_label
_atom_site_type_symbol
_atom_site_fract_x
_atom_site_fract_y
_atom_site_fract_z
_atom_site_occupancy
K1 K 0.0000 0.5000 0.0000 1
Nd1 Nd 0.0000 0.5000 0.5000 1
Nb1 Nb 0.0000 0.0000 0.5000 1
O1 O 0.0000 0.0000 0.2315 1
O2 O 0.0341 0.5171 0.2241 1
```

Most intense lines, 2θ = 10–80°, sorted by position:
d_spacing  2θ (°)  I (rel.)  h k l
6.310  14.0  100  0 0 3
3.155  28.3  28  0 0 6
3.025  29.5  35  0 2 1
2.916  30.7  59  2 0 2
2.573  34.9  87  0 2 4
1.873  48.6  28  2 0 8


Calculated XRD peak list
Compound: Tl2Br
Radiation: copper Kα
Structure: a GGA-PBE-relaxed structure
Lines closer than 0.1° are merged.

Atomic structure:
```
data_Tl2Br
_symmetry_space_group_name_H-M 'P 4/m m m'
_symmetry_Int_Tables_number 123
_symmetry_space_group_name_Hall '-P 4 2'
_cell_length_a 4.770
_cell_length_b 4.770
_cell_length_c 4.974
_cell_angle_alpha 90.00
_cell_angle_beta 90.00
_cell_angle_gamma 90.00
loop_
_atom_site_label
_atom_site_type_symbol
_atom_site_fract_x
_atom_site_fract_y
_atom_site_fract_z
_atom_site_occupancy
Tl1 Tl 0.000 0.500 0.000 1
Br1 Br 0.000 0.000 0.500 1
```

Most intense lines, 2θ = 10–80°, sorted by position:
d_spacing  2θ (°)  I (rel.)  h k l
4.974  17.8  44  0 0 1
3.373  26.4  35  1 1 0
2.792  32.1  100  1 1 1
2.385  37.7  32  2 0 0
1.721  53.2  24  2 0 2
1.443  64.6  27  3 1 1